No. 1
Starting from a structure optimized by DFT (PBE), the X-ray diffraction stick pattern of Y4P3W2N3 was simulated for Cu Kα X-rays.

Top 10 peaks for 2θ = 10–90°, sorted by position:
2θ (°)  I (rel.)
14.7  20
17.1  24
29.5  17
29.7  43
30.4  15
30.6  23
37.2  100
37.5  52
52.4  29
52.8  14

```
Y4P3W2N3
1.0
5.2003 -3.0288 0.0000
5.2003 3.0288 0.0000
-3.3465 0.0000 12.0726
Y P W N
8 6 4 6
Direct
0.0389 0.2026 0.1093 Y
0.1321 0.2934 0.3909 Y
0.2026 0.0389 0.6093 Y
0.2934 0.1321 0.8909 Y
0.7066 0.8679 0.1091 Y
0.7974 0.9611 0.3907 Y
0.8679 0.7066 0.6091 Y
0.9611 0.7974 0.8907 Y
0.1421 0.8579 0.2500 P
0.3047 0.4198 0.7504 P
0.4198 0.3047 0.2504 P
0.5802 0.6953 0.7496 P
0.6953 0.5802 0.2496 P
0.8579 0.1421 0.7500 P
0.3764 0.5283 0.0860 W
0.4717 0.6236 0.4140 W
0.5283 0.3764 0.5860 W
0.6236 0.4717 0.9140 W
0.0000 0.5000 0.0000 N
0.1740 0.6630 0.4998 N
0.3370 0.8260 0.0002 N
0.5000 0.0000 0.5000 N
0.6630 0.1740 0.9998 N
0.8260 0.3370 0.5002 N
```

---

No. 2
Starting from a structure optimized by DFT (PBE), the X-ray diffraction stick pattern of ZnPW4N2 was simulated for Cu Kα X-rays.

Top 10 peaks for 2θ = 10–90°, sorted by position:
2θ (°)  I (rel.)
25.5  27
35.9  25
36.5  26
38.7  14
41.0  100
44.6  14
53.8  13
59.3  14
64.6  22
79.4  15

```
ZnPW4N2
1.0
2.8852 0.0000 0.0000
-1.4426 2.4987 0.0000
0.0000 0.0000 13.9680
Zn P W N
1 1 4 2
Direct
0.0000 0.0000 0.0000 Zn
0.3333 0.6667 0.5000 P
0.0000 0.0000 0.3664 W
0.0000 0.0000 0.6336 W
0.3333 0.6667 0.1610 W
0.3333 0.6667 0.8390 W
0.6667 0.3333 0.2607 N
0.6667 0.3333 0.7393 N
```

---

No. 3
Starting from a structure optimized by DFT (PBE), the X-ray diffraction stick pattern of Zr4PN3 was simulated for Cu Kα X-rays.

Top 10 peaks for 2θ = 10–90°, sorted by position:
2θ (°)  I (rel.)
31.4  35
32.1  47
33.3  20
36.9  57
39.3  100
54.6  16
55.3  45
58.2  17
65.0  19
69.9  20

```
Zr4PN3
1.0
3.3229 0.0000 0.0000
-1.6614 2.8777 0.0000
0.0000 0.0000 22.8061
Zr P N
8 2 6
Direct
0.0000 0.0000 0.1707 Zr
0.0000 0.0000 0.3293 Zr
0.0000 0.0000 0.6707 Zr
0.0000 0.0000 0.8293 Zr
0.3333 0.6667 0.0594 Zr
0.3333 0.6667 0.4406 Zr
0.6667 0.3333 0.5594 Zr
0.6667 0.3333 0.9406 Zr
0.3333 0.6667 0.2500 P
0.6667 0.3333 0.7500 P
0.0000 0.0000 0.0000 N
0.0000 0.0000 0.5000 N
0.3333 0.6667 0.6138 N
0.3333 0.6667 0.8862 N
0.6667 0.3333 0.1138 N
0.6667 0.3333 0.3862 N
```